For Na2LiVPO6, a crystal structure in the Materials Project, relaxed with PBE+U gives the calculated XRD peak list in this record (CuKα).
Peak positions follow from Bragg's law for the DFT cell and can differ from measured ones.

Structure:
abc: 5.9712 12.5923 8.1157
angles: 90.00 113.39 90.00
Space group P2_1/c (No. 14)
Unique sites:
Na 0.1437 0.1638 0.4530
Na 0.2054 0.0924 0.0682
Li 0.2998 0.5239 0.2509
V 0.4136 0.7156 0.6040
P 0.2242 0.5963 0.8180
O 0.0400 0.5037 0.7664
O 0.1279 0.6836 0.6654
O 0.2381 0.6473 0.9974
O 0.3076 0.2368 0.2516
O 0.4175 0.6227 0.4469
O 0.4784 0.5645 0.8243

Most intense lines, 2θ from 15° to 90°, low angle first:
17.33°, d = 5.118 Å, intensity 370, hkl 1 1 -1; 17.65°, d = 5.025 Å, intensity 441, hkl 1 1 0; 18.45°, d = 4.809 Å, intensity 574, hkl 0 2 1; 21.50°, d = 4.134 Å, intensity 366, hkl 1 2 0; 24.72°, d = 3.602 Å, intensity 613, hkl 1 1 1; 31.40°, d = 2.848 Å, intensity 756, hkl 1 3 -2; 31.96°, d = 2.800 Å, intensity 597, hkl 1 3 1; 32.13°, d = 2.786 Å, intensity 1000, hkl 0 3 2; 32.63°, d = 2.744 Å, intensity 275, hkl 1 4 -1; 32.76°, d = 2.734 Å, intensity 760, hkl 2 1 -2